The following is a simulated X-ray powder pattern of GeAs3. It was derived from a DFT-relaxed cell (GGA-PBE, the Materials Project), using Cu Kα (weighted mean of Kα1 and Kα2).
No peak broadening, texture or thermal motion is included.

Main lines, most intense first (2θ from 10° to 90°):
2θ 37.05, I = 100; 2θ 32.19, I = 37; 2θ 58.71, I = 26; 2θ 47.69, I = 24; 2θ 60.62, I = 23; 2θ 81.69, I = 20; 2θ 78.90, I = 11; 2θ 86.67, I = 9; 2θ 69.74, I = 8; 2θ 67.36, I = 4

Structure:
```
4
Lattice="-1.9071 1.9071 5.5609 1.9071 -1.9071 5.5609 1.9071 1.9071 -5.5609" Properties=species:S:1:pos:R:3 pbc="T T T"
Ge 0.0000 0.0000 0.0000
As 1.9071 0.0000 2.7805
As 0.0000 0.0000 5.5609
As 0.0000 1.9071 2.7805
```